The following is a calculated X-ray powder pattern of KSn5Os3. It was derived from a PBE-relaxed structure, using Cu Kα (weighted mean of Kα1 and Kα2).
Intensities are scaled so that the largest is 100.

Principal peaks in the range 2θ from 15° to 90°, sorted by position:
18.5 deg, I = 31.5
32.3 deg, I = 24.9
38.2 deg, I = 38.3
38.8 deg, I = 60.1
40.5 deg, I = 30.0
42.8 deg, I = 100.0
48.8 deg, I = 27.4
81.8 deg, I = 24.9

Crystal structure
```
data_KSn5Os3
_space_group_name_H-M_alt 'P 6/m m m'
_space_group_IT_number 191
_space_group_name_Hall '-P 6 2'
_cell_length_a 5.5509
_cell_length_b 5.5509
_cell_length_c 8.9034
_cell_angle_alpha 90.00
_cell_angle_beta 90.00
_cell_angle_gamma 120.00
loop_
_atom_site_label
_atom_site_fract_x
_atom_site_fract_y
_atom_site_fract_z
K1 0.0000 0.0000 0.0000
Sn1 0.0000 0.0000 0.5000
Sn2 0.3333 0.6667 0.2423
Os1 0.0000 0.5000 0.5000
```


The following is a calculated X-ray powder pattern of SrHg2Te2F2. It was derived from a PBE-relaxed structure, using Cu Kα (weighted mean of Kα1 and Kα2).
Intensities are scaled so that the largest is 100.

Principal peaks in the range 2θ from 15° to 90°, sorted by position:
28.0 deg, I = 100.0
30.5 deg, I = 60.4
34.7 deg, I = 49.2
35.6 deg, I = 71.4
43.7 deg, I = 50.7
50.9 deg, I = 44.9
52.8 deg, I = 35.7
69.3 deg, I = 35.8

Crystal structure
```
data_SrHg2Te2F2
_space_group_name_H-M_alt 'P -4 m 2'
_space_group_IT_number 115
_cell_length_a 4.1402
_cell_length_b 4.1402
_cell_length_c 9.9487
_cell_angle_alpha 90.00
_cell_angle_beta 90.00
_cell_angle_gamma 90.00
loop_
_space_group_symop_operation_xyz
'x,y,z'
'y,-x,-z'
'-x,-y,z'
'-y,x,-z'
'-x,y,z'
'-y,-x,-z'
'x,-y,z'
'y,x,-z'
loop_
_atom_site_label
_atom_site_fract_x
_atom_site_fract_y
_atom_site_fract_z
Sr1 0.0000 0.0000 0.0000
Hg1 0.0000 0.5000 0.3519
Te1 0.0000 0.5000 0.7600
F1 0.0000 0.0000 0.5000
F2 0.5000 0.5000 0.5000
```


The following is a calculated X-ray powder pattern of Dy2Y2Er2TmNi2Te2. It was derived from a PBE-relaxed structure, using Cu Kα (weighted mean of Kα1 and Kα2).
Intensities are scaled so that the largest is 100.

Principal peaks in the range 2θ from 15° to 90°, sorted by position:
25.0 deg, I = 22.2
30.2 deg, I = 29.1
30.4 deg, I = 49.2
33.0 deg, I = 78.5
34.1 deg, I = 100.0
34.6 deg, I = 87.1
47.4 deg, I = 30.2
59.0 deg, I = 35.5

Crystal structure
```
data_Dy2Y2Er2TmNi2Te2
_space_group_name_H-M_alt 'I m m 2'
_space_group_IT_number 44
_cell_length_a 3.8371
_cell_length_b 15.5706
_cell_length_c 9.5418
_cell_angle_alpha 90.00
_cell_angle_beta 90.00
_cell_angle_gamma 90.00
loop_
_space_group_symop_operation_xyz
'x,y,z'
'-x,-y,z'
'-x,y,z'
'x,-y,z'
'x+1/2,y+1/2,z+1/2'
'-x+1/2,-y+1/2,z+1/2'
'-x+1/2,y+1/2,z+1/2'
'x+1/2,-y+1/2,z+1/2'
loop_
_atom_site_label
_atom_site_fract_x
_atom_site_fract_y
_atom_site_fract_z
Dy1 0.0000 0.1321 0.0000
Y1 0.0000 0.3538 0.8512
Er1 0.0000 0.3155 0.2016
Tm1 0.0000 0.0000 0.5825
Ni1 0.0000 0.2385 0.5112
Te1 0.0000 0.0000 0.2467
Te2 0.0000 0.5000 0.3455
```


The following is a calculated X-ray powder pattern of Ba2Ag2SbAs. It was derived from a PBE-relaxed structure, using Cu Kα (weighted mean of Kα1 and Kα2).
Intensities are scaled so that the largest is 100.

Principal peaks in the range 2θ from 15° to 90°, sorted by position:
29.0 deg, I = 100.0
37.5 deg, I = 52.3
39.3 deg, I = 14.9
48.2 deg, I = 24.2
55.5 deg, I = 32.0
62.6 deg, I = 21.8
65.1 deg, I = 9.1
81.3 deg, I = 10.6

Crystal structure
```
data_Ba2Ag2SbAs
_space_group_name_H-M_alt 'P 3 m 1'
_space_group_IT_number 156
_cell_length_a 4.7908
_cell_length_b 4.7908
_cell_length_c 9.1604
_cell_angle_alpha 90.00
_cell_angle_beta 90.00
_cell_angle_gamma 120.00
loop_
_space_group_symop_operation_xyz
'x,y,z'
'-y,x-y,z'
'-x+y,-x,z'
'-y,-x,z'
'-x+y,y,z'
'x,x-y,z'
loop_
_atom_site_label
_atom_site_fract_x
_atom_site_fract_y
_atom_site_fract_z
Ba1 0.0000 0.0000 0.0000
Ba2 0.0000 0.0000 0.4815
Ag1 0.3333 0.6667 0.2421
Ag2 0.6667 0.3333 0.7428
Sb1 0.3333 0.6667 0.7385
As1 0.6667 0.3333 0.2385
```